Structure and calculated X-ray powder pattern of Tm3Al4Zn4 (a DFT-relaxed cell (GGA-PBE, Alexandria); Cu Kα X-rays).
No peak broadening, texture or thermal motion is included.

Most intense lines, 10° ≤ 2θ ≤ 80°, in order of rising 2θ:
2θ 19.8, I = 37
2θ 22.6, I = 25
2θ 26.3, I = 21
2θ 32.9, I = 50
2θ 34.1, I = 64
2θ 34.9, I = 100
2θ 41.3, I = 34
2θ 42.4, I = 50
2θ 50.6, I = 19
2θ 50.9, I = 18
2θ 54.6, I = 34
2θ 68.1, I = 24

Cell and atoms:
```
data_Tm3Al4Zn4
_cell_length_a 13.7305
_cell_length_b 13.7305
_cell_length_c 4.3689
_cell_angle_alpha 99.07
_cell_angle_beta 99.07
_cell_angle_gamma 15.09
_symmetry_space_group_name_H-M 'P 1'
_symmetry_Int_Tables_number 1
loop_
_symmetry_equiv_pos_as_xyz
'x,y,z'
loop_
_atom_site_label
_atom_site_type_symbol
_atom_site_fract_x
_atom_site_fract_y
_atom_site_fract_z
Tm1 Tm 0.0000 0.0000 0.0000
Tm2 Tm 0.1451 0.1451 0.6443
Tm3 Tm 0.8549 0.8549 0.3557
Al1 Al 0.2562 0.2562 0.2572
Al2 Al 0.4062 0.4062 0.9069
Al3 Al 0.5938 0.5938 0.0931
Al4 Al 0.7438 0.7438 0.7428
Zn1 Zn 0.3129 0.3129 0.8139
Zn2 Zn 0.4530 0.4530 0.4533
Zn3 Zn 0.5470 0.5470 0.5467
Zn4 Zn 0.6871 0.6871 0.1861
```

***

Structure and calculated X-ray powder pattern of LaTb2Pr4 (a DFT-relaxed cell (GGA-PBE, Alexandria); Cu Kα X-rays).
No peak broadening, texture or thermal motion is included.

Most intense lines, 10° ≤ 2θ ≤ 80°, in order of rising 2θ:
2θ 29.2, I = 14
2θ 29.7, I = 100
2θ 30.1, I = 32
2θ 30.9, I = 68
2θ 31.6, I = 29
2θ 31.8, I = 22
2θ 36.4, I = 36
2θ 43.6, I = 10
2θ 49.6, I = 21
2θ 53.4, I = 11
2θ 54.2, I = 23
2θ 59.6, I = 14

Cell and atoms:
```
data_LaTb2Pr4
_cell_length_a 12.7546
_cell_length_b 6.9394
_cell_length_c 13.7573
_cell_angle_alpha 66.96
_cell_angle_beta 30.04
_cell_angle_gamma 83.00
_symmetry_space_group_name_H-M 'P 1'
_symmetry_Int_Tables_number 1
loop_
_symmetry_equiv_pos_as_xyz
'x,y,z'
loop_
_atom_site_label
_atom_site_type_symbol
_atom_site_fract_x
_atom_site_fract_y
_atom_site_fract_z
La1 La 0.0000 0.0000 0.0000
La2 La 0.2500 0.2500 0.2500
Tb1 Tb 0.2005 0.6838 0.3677
Tb2 Tb 0.5021 0.8823 0.5662
Tb3 Tb 0.6838 0.2005 0.7479
Tb4 Tb 0.8823 0.5021 0.0495
Pr1 Pr 0.1337 0.3002 0.0799
Pr2 Pr 0.1701 0.7637 0.1163
Pr3 Pr 0.3002 0.1337 0.4863
Pr4 Pr 0.3665 0.6060 0.4894
Pr5 Pr 0.6060 0.3665 0.5381
Pr6 Pr 0.7119 0.7606 0.6440
Pr7 Pr 0.7606 0.7119 0.8835
Pr8 Pr 0.7637 0.1701 0.9498
```

***

Structure and calculated X-ray powder pattern of PuThGa2 (a DFT-relaxed cell (GGA-PBE, Alexandria); Cu Kα X-rays).
No peak broadening, texture or thermal motion is included.

Most intense lines, 10° ≤ 2θ ≤ 80°, in order of rising 2θ:
2θ 24.5, I = 32
2θ 34.9, I = 100
2θ 43.1, I = 10
2θ 50.2, I = 18
2θ 56.6, I = 14
2θ 62.6, I = 38
2θ 73.8, I = 12
2θ 79.1, I = 7

Cell and atoms:
```
data_PuThGa2
_cell_length_a 5.1385
_cell_length_b 5.1385
_cell_length_c 5.1385
_cell_angle_alpha 60.00
_cell_angle_beta 60.00
_cell_angle_gamma 60.00
_symmetry_space_group_name_H-M 'P 1'
_symmetry_Int_Tables_number 1
loop_
_symmetry_equiv_pos_as_xyz
'x,y,z'
loop_
_atom_site_label
_atom_site_type_symbol
_atom_site_fract_x
_atom_site_fract_y
_atom_site_fract_z
Pu1 Pu 0.0000 0.0000 0.0000
Th1 Th 0.5000 0.5000 0.5000
Ga1 Ga 0.2500 0.2500 0.2500
Ga2 Ga 0.7500 0.7500 0.7500
```

***

Structure and calculated X-ray powder pattern of TmGaCu (a DFT-relaxed cell (GGA-PBE, Alexandria); Cu Kα X-rays).
No peak broadening, texture or thermal motion is included.

Most intense lines, 10° ≤ 2θ ≤ 80°, in order of rising 2θ:
2θ 23.8, I = 23
2θ 34.4, I = 22
2θ 35.4, I = 100
2θ 35.5, I = 44
2θ 41.1, I = 10
2θ 41.7, I = 30
2θ 42.0, I = 47
2θ 55.9, I = 24
2θ 59.0, I = 11
2θ 68.5, I = 12
2θ 69.9, I = 11
2θ 72.0, I = 12

Cell and atoms:
```
data_TmGaCu
_cell_length_a 11.2063
_cell_length_b 11.2063
_cell_length_c 11.2063
_cell_angle_alpha 157.71
_cell_angle_beta 45.11
_cell_angle_gamma 141.30
_symmetry_space_group_name_H-M 'P 1'
_symmetry_Int_Tables_number 1
loop_
_symmetry_equiv_pos_as_xyz
'x,y,z'
loop_
_atom_site_label
_atom_site_type_symbol
_atom_site_fract_x
_atom_site_fract_y
_atom_site_fract_z
Tm1 Tm 0.0000 0.0000 0.0000
Tm2 Tm 0.0986 0.9334 0.1652
Tm3 Tm 0.3308 0.9989 0.3319
Tm4 Tm 0.4332 0.9332 0.5000
Tm5 Tm 0.6670 0.9989 0.6681
Tm6 Tm 0.7682 0.9334 0.8348
Ga1 Ga 0.2056 0.3020 0.9036
Ga2 Ga 0.3652 0.6298 0.7354
Ga3 Ga 0.3983 0.3020 0.0964
Ga4 Ga 0.7344 0.3020 0.4324
Ga5 Ga 0.8695 0.3020 0.5676
Ga6 Ga 0.8943 0.6298 0.2646
Cu1 Cu 0.0335 0.6339 0.3997
Cu2 Cu 0.0635 0.2985 0.7650
Cu3 Cu 0.2342 0.6339 0.6003
Cu4 Cu 0.5336 0.2985 0.2350
Cu5 Cu 0.5601 0.6326 0.9274
Cu6 Cu 0.7052 0.6326 0.0726
```